This entry pairs a crystal structure of NaCuAsO4 with its simulated XRD peak list. Radiation: Cu Kα X-rays. Structure: a structure optimized by DFT (GGA-PBE).
Kinematic intensities with the Lorentz-polarization factor, no thermal factor.

Principal peaks in the range 15 to 90 degrees two-theta, in order of rising 2θ:
| two_theta | intensity |
| --- | --- |
| 18.30 | 27.1 |
| 29.87 | 26.1 |
| 30.04 | 36.2 |
| 30.22 | 100.0 |
| 32.84 | 32.6 |
| 33.90 | 52.1 |

Atomic structure:
```
NaCuAsO4
1.0
6.140 0.000 0.000
0.000 10.908 0.000
-0.274 0.000 10.579
Na Cu As O
8 8 8 32
Direct
0.128 0.153 0.382 Na
0.128 0.347 0.882 Na
0.368 0.631 0.119 Na
0.368 0.869 0.619 Na
0.632 0.131 0.381 Na
0.632 0.369 0.881 Na
0.872 0.653 0.118 Na
0.872 0.847 0.618 Na
0.169 0.620 0.511 Cu
0.169 0.880 0.011 Cu
0.384 0.100 0.777 Cu
0.384 0.400 0.277 Cu
0.616 0.600 0.723 Cu
0.616 0.900 0.223 Cu
0.831 0.120 0.989 Cu
0.831 0.380 0.489 Cu
0.127 0.621 0.821 As
0.127 0.879 0.321 As
0.378 0.135 0.091 As
0.378 0.365 0.591 As
0.622 0.635 0.409 As
0.622 0.865 0.909 As
0.873 0.121 0.679 As
0.873 0.379 0.179 As
0.099 0.029 0.666 O
0.099 0.471 0.166 O
0.121 0.716 0.954 O
0.121 0.784 0.454 O
0.129 0.704 0.683 O
0.129 0.796 0.183 O
0.155 0.038 0.088 O
0.155 0.462 0.588 O
0.347 0.232 0.216 O
0.347 0.268 0.716 O
0.365 0.535 0.840 O
0.365 0.965 0.340 O
0.374 0.554 0.378 O
0.374 0.946 0.878 O
0.402 0.205 0.947 O
0.402 0.295 0.447 O
0.598 0.705 0.553 O
0.598 0.795 0.053 O
0.626 0.054 0.122 O
0.626 0.446 0.622 O
0.635 0.035 0.660 O
0.635 0.465 0.160 O
0.653 0.732 0.284 O
0.653 0.768 0.784 O
0.845 0.538 0.412 O
0.845 0.962 0.912 O
0.871 0.204 0.817 O
0.871 0.296 0.317 O
0.879 0.216 0.546 O
0.879 0.284 0.046 O
0.901 0.529 0.834 O
0.901 0.971 0.334 O
```

=====

This entry pairs a crystal structure of CuAsO3 with its simulated XRD peak list. Radiation: Cu Kα X-rays. Structure: a structure optimized by DFT (GGA-PBE).
Kinematic intensities with the Lorentz-polarization factor, no thermal factor.

Principal peaks in the range 15 to 90 degrees two-theta, in order of rising 2θ:
| two_theta | intensity |
| --- | --- |
| 20.55 | 27.9 |
| 26.86 | 100.0 |
| 33.27 | 25.4 |
| 34.32 | 30.9 |
| 34.78 | 22.8 |
| 53.13 | 19.7 |

Atomic structure:
```
CuAsO3
1.0
8.974 0.000 0.000
0.000 3.214 0.000
0.000 0.000 4.931
Cu As O
2 2 6
Direct
0.000 0.000 0.000 Cu
0.500 0.000 0.000 Cu
0.250 0.500 0.394 As
0.750 0.500 0.606 As
0.092 0.500 0.183 O
0.250 0.000 0.577 O
0.408 0.500 0.183 O
0.592 0.500 0.817 O
0.750 0.000 0.423 O
0.908 0.500 0.817 O
```